The following is a calculated powder diffraction line list of La4MgGa2Fe2O12. It was derived from the GGA+U geometry in Alexandria, using copper Kα.
Neutral-atom scattering factors, no anomalous dispersion.

Structural model:
```
21
Lattice="5.728 0.000 0.000 0.419 5.991 0.000 0.945 0.174 8.427" Properties=species:S:1:pos:R:3 pbc="T T T"
La 0.000 0.000 0.000
La 0.962 1.151 4.812
La 3.679 4.058 4.663
La 3.696 3.270 0.595
Mg 1.249 2.129 1.653
Ga 3.710 0.665 2.893
Ga 6.687 3.761 6.389
Fe 0.813 4.494 2.818
Fe 3.776 0.961 6.741
O 1.374 3.982 0.958
O 2.223 5.399 6.277
O 2.480 2.610 6.058
O 2.389 5.598 3.336
O 2.186 1.124 0.230
O 2.662 2.292 3.010
O 4.326 0.540 4.732
O 4.731 4.940 2.133
O 5.396 4.873 7.295
O 5.691 2.096 7.118
O 5.127 1.597 1.854
O 6.035 3.640 4.566
```

Principal peaks in the range 10 to 80 degrees two-theta, in order of rising 2θ:
2θ/deg, I_rel, (hkl)
17.9, 20, 1 0 1
21.1, 19, 0 0 2
28.3, 48, 1 1 2
29.8, 100, 1 -1 2
31.3, 72, 1 1 -2
31.5, 79, 2 0 0
31.9, 47, -1 1 2
36.6, 22, 1 1 3
40.4, 24, -1 1 3
42.9, 20, 0 0 4